Record 1
Diffraction record for DyEr2Tm2Lu2Ni2Se2. The powder diffractogram is theoretical, not measured: it uses a PBE-relaxed structure and Cu Kα (weighted mean of Kα1 and Kα2).
Intensities are scaled so that the largest is 100.

Main lines, low angle first (10° ≤ 2θ ≤ 90°):
hkl  2θ (°)  d (Å)  I_rel
1 3 0  29.83  2.995  26.8
1 1 2  31.28  2.859  61.8
0 5 1  31.69  2.824  30.6
0 3 3  34.39  2.608  70.1
1 4 1  35.35  2.539  100.0
1 3 2  35.77  2.510  54.6
2 0 0  48.37  1.882  29.6
2 3 3  60.69  1.526  27.5

Cell and atoms:
a = 3.764 Å, b = 14.834 Å, c = 9.208 Å
α = 90.00°, β = 90.00°, γ = 90.00°
Space group Imm2 (No. 44)
One atom of each set of equivalent atoms:
Dy 0.000 0.000 0.000 x2
Er 0.000 0.359 0.740 x4
Tm 0.000 0.127 0.586 x4
Lu 0.000 0.317 0.380 x4
Ni 0.000 0.237 0.073 x4
Se 0.000 0.000 0.341 x2
Se 0.000 0.500 0.240 x2


Record 2
Diffraction record for DyY2Er2Lu2Ni2Se2. The powder diffractogram is theoretical, not measured: it uses a PBE-relaxed structure and Cu Kα (weighted mean of Kα1 and Kα2).
Intensities are scaled so that the largest is 100.

Main lines, low angle first (10° ≤ 2θ ≤ 90°):
hkl  2θ (°)  d (Å)  I_rel
0 1 3  29.53  3.025  42.4
1 1 2  31.03  2.882  58.6
0 5 1  31.34  2.854  38.6
0 3 3  34.10  2.630  68.6
1 4 1  35.01  2.563  100.0
1 3 2  35.45  2.532  66.8
2 0 0  47.96  1.897  30.7
2 3 3  60.15  1.538  26.7

Cell and atoms:
a = 3.794 Å, b = 15.000 Å, c = 9.275 Å
α = 90.00°, β = 90.00°, γ = 90.00°
Space group Imm2 (No. 44)
One atom of each set of equivalent atoms:
Dy 0.000 0.000 0.000 x2
Y 0.000 0.358 0.258 x4
Er 0.000 0.126 0.412 x4
Lu 0.000 0.317 0.617 x4
Ni 0.000 0.240 0.927 x4
Se 0.000 0.000 0.660 x2
Se 0.000 0.500 0.758 x2


Record 3
Diffraction record for Dy2Er3Lu2Ni2Te2. The powder diffractogram is theoretical, not measured: it uses a PBE-relaxed structure and Cu Kα (weighted mean of Kα1 and Kα2).
Intensities are scaled so that the largest is 100.

Main lines, low angle first (10° ≤ 2θ ≤ 90°):
hkl  2θ (°)  d (Å)  I_rel
1 1 2  30.65  2.917  52.0
0 3 3  33.22  2.697  78.9
1 4 1  34.42  2.605  100.0
0 6 0  34.88  2.572  70.4
1 0 3  36.92  2.435  21.8
2 0 0  47.80  1.903  28.0
1 7 2  51.66  1.770  27.1
2 3 3  59.44  1.555  36.5

Cell and atoms:
a = 3.806 Å, b = 15.432 Å, c = 9.503 Å
α = 90.00°, β = 90.00°, γ = 90.00°
Space group Imm2 (No. 44)
One atom of each set of equivalent atoms:
Dy 0.000 0.185 0.000 x4
Er 0.000 0.367 0.203 x4
Er 0.000 0.500 0.623 x2
Lu 0.000 0.146 0.350 x4
Ni 0.000 0.265 0.695 x4
Te 0.000 0.000 0.856 x2
Te 0.000 0.500 0.960 x2


Record 4
Diffraction record for DyEr2Lu4Ni2Te2. The powder diffractogram is theoretical, not measured: it uses a PBE-relaxed structure and Cu Kα (weighted mean of Kα1 and Kα2).
Intensities are scaled so that the largest is 100.

Main lines, low angle first (10° ≤ 2θ ≤ 90°):
hkl  2θ (°)  d (Å)  I_rel
1 1 2  30.67  2.915  72.7
0 3 3  33.42  2.681  80.7
1 4 1  34.49  2.600  100.0
1 3 2  34.95  2.567  52.8
0 6 0  35.12  2.556  23.8
2 0 0  47.65  1.908  29.1
1 7 2  51.89  1.762  26.5
2 3 3  59.44  1.555  36.2

Cell and atoms:
a = 3.817 Å, b = 15.333 Å, c = 9.447 Å
α = 90.00°, β = 90.00°, γ = 90.00°
Space group Imm2 (No. 44)
One atom of each set of equivalent atoms:
Dy 0.000 0.000 0.000 x2
Er 0.000 0.314 0.376 x4
Lu 0.000 0.135 0.582 x4
Lu 0.000 0.353 0.729 x4
Ni 0.000 0.236 0.069 x4
Te 0.000 0.000 0.339 x2
Te 0.000 0.500 0.232 x2


Record 5
Diffraction record for Dy2Er3Lu2Ni2Te2. The powder diffractogram is theoretical, not measured: it uses a PBE-relaxed structure and Cu Kα (weighted mean of Kα1 and Kα2).
Intensities are scaled so that the largest is 100.

Main lines, low angle first (10° ≤ 2θ ≤ 90°):
hkl  2θ (°)  d (Å)  I_rel
1 3 0  29.16  3.063  23.6
1 1 2  30.65  2.917  52.9
0 3 3  33.36  2.686  80.9
1 4 1  34.43  2.605  100.0
0 6 0  34.93  2.569  74.7
1 0 3  36.98  2.431  24.0
2 0 0  47.65  1.909  29.8
2 3 3  59.40  1.556  31.2

Cell and atoms:
a = 3.817 Å, b = 15.391 Å, c = 9.459 Å
α = 90.00°, β = 90.00°, γ = 90.00°
Space group Imm2 (No. 44)
One atom of each set of equivalent atoms:
Dy 0.000 0.134 0.000 x4
Er 0.000 0.000 0.581 x2
Er 0.000 0.315 0.205 x4
Lu 0.000 0.354 0.853 x4
Ni 0.000 0.235 0.512 x4
Te 0.000 0.000 0.244 x2
Te 0.000 0.500 0.348 x2


Record 6
Diffraction record for Dy3Er2Lu2Ni2Te2. The powder diffractogram is theoretical, not measured: it uses a PBE-relaxed structure and Cu Kα (weighted mean of Kα1 and Kα2).
Intensities are scaled so that the largest is 100.

Main lines, low angle first (10° ≤ 2θ ≤ 90°):
hkl  2θ (°)  d (Å)  I_rel
1 3 0  29.09  3.069  21.2
1 1 2  30.57  2.924  52.0
0 3 3  33.25  2.694  79.4
1 4 1  34.34  2.611  100.0
0 6 0  34.84  2.575  73.5
1 0 3  36.87  2.438  22.1
2 0 0  47.54  1.913  29.2
2 3 3  59.25  1.560  30.6

Cell and atoms:
a = 3.825 Å, b = 15.426 Å, c = 9.490 Å
α = 90.00°, β = 90.00°, γ = 90.00°
Space group Imm2 (No. 44)
One atom of each set of equivalent atoms:
Dy 0.000 0.000 0.000 x2
Dy 0.000 0.314 0.624 x4
Er 0.000 0.134 0.419 x4
Lu 0.000 0.354 0.272 x4
Ni 0.000 0.236 0.930 x4
Te 0.000 0.000 0.662 x2
Te 0.000 0.500 0.768 x2


Record 7
Diffraction record for Dy2Er3Lu2Ni2Te2. The powder diffractogram is theoretical, not measured: it uses a PBE-relaxed structure and Cu Kα (weighted mean of Kα1 and Kα2).
Intensities are scaled so that the largest is 100.

Main lines, low angle first (10° ≤ 2θ ≤ 90°):
hkl  2θ (°)  d (Å)  I_rel
1 3 0  29.09  3.070  24.4
1 1 2  30.58  2.923  53.1
0 3 3  33.28  2.692  83.4
1 4 1  34.35  2.611  100.0
0 6 0  34.85  2.575  79.5
1 0 3  36.89  2.437  25.1
2 0 0  47.52  1.913  30.2
2 3 3  59.25  1.560  32.2

Cell and atoms:
a = 3.826 Å, b = 15.424 Å, c = 9.480 Å
α = 90.00°, β = 90.00°, γ = 90.00°
Space group Imm2 (No. 44)
One atom of each set of equivalent atoms:
Dy 0.000 0.134 0.000 x4
Er 0.000 0.000 0.418 x2
Er 0.000 0.353 0.147 x4
Lu 0.000 0.315 0.795 x4
Ni 0.000 0.236 0.487 x4
Te 0.000 0.000 0.756 x2
Te 0.000 0.500 0.653 x2


Record 8
Diffraction record for DyEr2Lu4Ni2Te2. The powder diffractogram is theoretical, not measured: it uses a PBE-relaxed structure and Cu Kα (weighted mean of Kα1 and Kα2).
Intensities are scaled so that the largest is 100.

Main lines, low angle first (10° ≤ 2θ ≤ 90°):
hkl  2θ (°)  d (Å)  I_rel
1 1 2  30.66  2.916  74.9
0 3 3  33.42  2.681  83.8
1 4 1  34.49  2.601  100.0
1 3 2  34.95  2.568  54.3
0 6 0  35.11  2.556  25.3
2 0 0  47.64  1.909  30.1
1 7 2  51.89  1.762  27.6
2 3 3  59.43  1.555  37.9

Cell and atoms:
a = 3.818 Å, b = 15.335 Å, c = 9.448 Å
α = 90.00°, β = 90.00°, γ = 90.00°
Space group Imm2 (No. 44)
One atom of each set of equivalent atoms:
Dy 0.000 0.000 0.000 x2
Er 0.000 0.135 0.581 x4
Lu 0.000 0.314 0.377 x4
Lu 0.000 0.353 0.728 x4
Ni 0.000 0.236 0.069 x4
Te 0.000 0.000 0.338 x2
Te 0.000 0.500 0.233 x2


Record 9
Diffraction record for DyEr2Lu4Ni2Te2. The powder diffractogram is theoretical, not measured: it uses a PBE-relaxed structure and Cu Kα (weighted mean of Kα1 and Kα2).
Intensities are scaled so that the largest is 100.

Main lines, low angle first (10° ≤ 2θ ≤ 90°):
hkl  2θ (°)  d (Å)  I_rel
1 1 2  30.63  2.919  74.4
0 3 3  33.40  2.683  83.0
1 4 1  34.44  2.604  100.0
1 3 2  34.90  2.570  56.6
0 6 0  35.08  2.558  24.7
2 0 0  47.55  1.912  30.0
1 7 2  51.83  1.764  26.5
2 3 3  59.35  1.557  37.4

Cell and atoms:
a = 3.824 Å, b = 15.349 Å, c = 9.453 Å
α = 90.00°, β = 90.00°, γ = 90.00°
Space group Imm2 (No. 44)
One atom of each set of equivalent atoms:
Dy 0.000 0.000 0.000 x2
Er 0.000 0.353 0.729 x4
Lu 0.000 0.135 0.582 x4
Lu 0.000 0.315 0.376 x4
Ni 0.000 0.237 0.069 x4
Te 0.000 0.000 0.339 x2
Te 0.000 0.500 0.233 x2


Record 10
Diffraction record for DyEr4Lu2Ni2Te2. The powder diffractogram is theoretical, not measured: it uses a PBE-relaxed structure and Cu Kα (weighted mean of Kα1 and Kα2).
Intensities are scaled so that the largest is 100.

Main lines, low angle first (10° ≤ 2θ ≤ 90°):
hkl  2θ (°)  d (Å)  I_rel
1 1 2  30.59  2.922  73.4
0 3 3  33.31  2.690  81.1
1 4 1  34.40  2.607  100.0
1 3 2  34.87  2.573  51.6
0 6 0  34.97  2.566  24.0
2 0 0  47.60  1.910  29.1
1 7 2  51.72  1.768  27.1
2 3 3  59.34  1.558  31.2

Cell and atoms:
a = 3.821 Å, b = 15.395 Å, c = 9.475 Å
α = 90.00°, β = 90.00°, γ = 90.00°
Space group Imm2 (No. 44)
One atom of each set of equivalent atoms:
Dy 0.000 0.000 0.000 x2
Er 0.000 0.134 0.581 x4
Er 0.000 0.314 0.376 x4
Lu 0.000 0.353 0.728 x4
Ni 0.000 0.236 0.070 x4
Te 0.000 0.000 0.337 x2
Te 0.000 0.500 0.233 x2


Record 11
Diffraction record for Dy2Er4LuNi2Te2. The powder diffractogram is theoretical, not measured: it uses a PBE-relaxed structure and Cu Kα (weighted mean of Kα1 and Kα2).
Intensities are scaled so that the largest is 100.

Main lines, low angle first (10° ≤ 2θ ≤ 90°):
hkl  2θ (°)  d (Å)  I_rel
0 5 1  30.42  2.939  21.4
1 1 2  30.54  2.927  53.2
0 3 3  33.18  2.700  79.1
1 4 1  34.31  2.614  100.0
0 6 0  34.79  2.578  72.7
1 0 3  36.82  2.441  22.6
2 0 0  47.53  1.913  29.3
2 3 3  59.19  1.561  30.3

Cell and atoms:
a = 3.826 Å, b = 15.450 Å, c = 9.511 Å
α = 90.00°, β = 90.00°, γ = 90.00°
Space group Imm2 (No. 44)
One atom of each set of equivalent atoms:
Dy 0.000 0.185 0.000 x4
Er 0.000 0.146 0.352 x4
Er 0.000 0.366 0.205 x4
Lu 0.000 0.500 0.623 x2
Ni 0.000 0.264 0.693 x4
Te 0.000 0.000 0.856 x2
Te 0.000 0.500 0.962 x2


Record 12
Diffraction record for Dy2Er3Lu2Ni2Te2. The powder diffractogram is theoretical, not measured: it uses a PBE-relaxed structure and Cu Kα (weighted mean of Kα1 and Kα2).
Intensities are scaled so that the largest is 100.

Main lines, low angle first (10° ≤ 2θ ≤ 90°):
hkl  2θ (°)  d (Å)  I_rel
1 1 2  30.52  2.929  76.1
0 3 3  33.28  2.692  83.1
1 4 1  34.31  2.613  100.0
1 3 2  34.79  2.579  55.9
0 6 0  34.89  2.571  25.2
2 0 0  47.44  1.917  30.2
1 7 2  51.61  1.771  27.2
2 3 3  59.18  1.561  32.2

Cell and atoms:
a = 3.833 Å, b = 15.428 Å, c = 9.479 Å
α = 90.00°, β = 90.00°, γ = 90.00°
Space group Imm2 (No. 44)
One atom of each set of equivalent atoms:
Dy 0.000 0.147 0.000 x4
Er 0.000 0.365 0.853 x4
Er 0.000 0.500 0.271 x2
Lu 0.000 0.185 0.647 x4
Ni 0.000 0.264 0.339 x4
Te 0.000 0.000 0.504 x2
Te 0.000 0.500 0.610 x2